# 1
Diffraction record for LiMn2F6. The powder XRD pattern is computed, not measured: it uses the GGA+U geometry in the Materials Project and Cu Kα (weighted mean of Kα1 and Kα2).

Atomic structure:
```
data_LiMn2F6
_cell_length_a 8.8678
_cell_length_b 8.8678
_cell_length_c 4.6777
_cell_angle_alpha 90.00
_cell_angle_beta 90.00
_cell_angle_gamma 120.00
_symmetry_space_group_name_H-M 'P 3 2 1'
_symmetry_Int_Tables_number 150
_symmetry_space_group_name_Hall 'P 3 2"'
loop_
_atom_site_label
_atom_site_fract_x
_atom_site_fract_y
_atom_site_fract_z
_atom_site_occupancy
Li1 0.0000 0.0000 0.0000 1
Li2 0.3333 0.6667 0.4856 1
Mn1 0.0000 0.3134 0.5000 1
Mn2 0.0000 0.6441 0.0000 1
F1 0.1053 0.5239 0.7287 1
F2 0.1089 0.2236 0.7537 1
F3 0.2118 0.7685 0.2674 1
```

Largest 10 diffraction maxima, by intensity, 2θ = 10–90°:
2θ 27.72, I = 100, (1 1 1); 2θ 53.04, I = 42, (0 3 2); 2θ 40.16, I = 35, (3 0 1); 2θ 20.03, I = 34, (1 1 0); 2θ 45.26, I = 21, (2 2 1); 2θ 58.50, I = 17, (1 4 1); 2θ 62.88, I = 17, (3 3 0); 2θ 35.05, I = 8, (3 0 0); 2θ 63.22, I = 8, (1 1 3); 2θ 43.76, I = 7, (1 1 2)

# 2
Diffraction record for Li9Mn2Co5O16. The powder XRD pattern is computed, not measured: it uses the GGA+U geometry in the Materials Project and Cu Kα (weighted mean of Kα1 and Kα2).

Atomic structure:
```
data_Li9Mn2Co5O16
_cell_length_a 5.103
_cell_length_b 5.889
_cell_length_c 9.719
_cell_angle_alpha 88.48
_cell_angle_beta 78.89
_cell_angle_gamma 89.41
_symmetry_space_group_name_H-M 'P -1'
_symmetry_Int_Tables_number 2
_symmetry_space_group_name_Hall '-P 1'
loop_
_atom_site_label
_atom_site_fract_x
_atom_site_fract_y
_atom_site_fract_z
_atom_site_occupancy
Li1 0.000 0.000 0.000 1
Li2 0.000 0.250 0.498 1
Li3 0.245 0.999 0.245 1
Li4 0.247 0.492 0.244 1
Li5 0.492 0.761 0.002 1
Mn1 0.000 0.500 0.000 1
Mn2 0.500 0.000 0.500 1
Co1 0.248 0.245 0.758 1
Co2 0.249 0.758 0.755 1
Co3 0.500 0.500 0.500 1
O1 0.094 0.262 0.126 1
O2 0.110 0.728 0.121 1
O3 0.150 0.006 0.623 1
O4 0.162 0.494 0.626 1
O5 0.351 0.500 0.880 1
O6 0.377 0.013 0.863 1
O7 0.389 0.753 0.392 1
O8 0.393 0.230 0.374 1
```

Largest 10 diffraction maxima, by intensity, 2θ = 10–90°:
2θ 18.36, I = 100, (1 0 1); 2θ 43.99, I = 53, (2 0 -2); 2θ 42.80, I = 29, (1 2 3); 2θ 36.27, I = 25, (1 0 -3); 2θ 35.44, I = 16, (0 2 2); 2θ 63.21, I = 15, (0 4 0); 2θ 57.93, I = 9, (3 0 -1); 2θ 62.83, I = 7, (3 2 1); 2θ 62.96, I = 7, (2 0 6); 2θ 37.71, I = 7, (1 2 -1)

# 3
Diffraction record for Li2NiP4O12. The powder XRD pattern is computed, not measured: it uses the GGA+U geometry in the Materials Project and Cu Kα (weighted mean of Kα1 and Kα2).

Atomic structure:
```
data_Li2NiP4O12
_cell_length_a 4.633
_cell_length_b 9.306
_cell_length_c 9.321
_cell_angle_alpha 90.01
_cell_angle_beta 90.86
_cell_angle_gamma 90.69
_symmetry_space_group_name_H-M 'P 1'
_symmetry_Int_Tables_number 1
_symmetry_space_group_name_Hall 'P 1'
loop_
_atom_site_label
_atom_site_fract_x
_atom_site_fract_y
_atom_site_fract_z
_atom_site_occupancy
Li1 0.000 0.000 0.000 1
Li2 0.000 0.006 0.504 1
Li3 0.000 0.501 0.499 1
Li4 0.001 0.507 0.004 1
Ni1 0.001 0.725 0.750 1
Ni2 0.002 0.260 0.224 1
P1 0.497 0.253 0.528 1
P2 0.497 0.756 0.029 1
P3 0.498 0.029 0.752 1
P4 0.498 0.530 0.255 1
P5 0.502 0.253 0.976 1
P6 0.502 0.478 0.752 1
P7 0.503 0.979 0.255 1
P8 0.504 0.756 0.478 1
O1 0.250 0.452 0.182 1
O2 0.250 0.683 0.950 1
O3 0.254 0.554 0.682 1
O4 0.255 0.183 0.053 1
O5 0.255 0.327 0.453 1
O6 0.255 0.955 0.826 1
O7 0.259 0.052 0.326 1
O8 0.259 0.826 0.551 1
O9 0.346 0.141 0.640 1
O10 0.351 0.869 0.139 1
O11 0.353 0.639 0.368 1
O12 0.356 0.371 0.870 1
O13 0.640 0.638 0.138 1
O14 0.648 0.371 0.640 1
O15 0.649 0.142 0.870 1
O16 0.657 0.868 0.367 1
O17 0.743 0.182 0.457 1
O18 0.743 0.957 0.682 1
O19 0.744 0.455 0.325 1
O20 0.744 0.827 0.955 1
O21 0.747 0.057 0.182 1
O22 0.747 0.328 0.055 1
O23 0.747 0.557 0.826 1
O24 0.748 0.683 0.556 1
```

Largest 10 diffraction maxima, by intensity, 2θ = 10–90°:
2θ 33.39, I = 100, (1 -2 2); 2θ 23.48, I = 82, (1 1 -1); 2θ 27.08, I = 69, (0 2 2); 2θ 19.16, I = 61, (1 0 0); 2θ 33.08, I = 51, (-1 2 2); 2θ 33.70, I = 50, (1 2 2); 2θ 13.45, I = 47, (0 1 1); 2θ 23.27, I = 44, (-1 1 1); 2θ 23.70, I = 38, (1 1 1); 2θ 19.06, I = 32, (0 0 2)

# 4
Diffraction record for Ca4Mn4O11. The powder XRD pattern is computed, not measured: it uses the GGA+U geometry in the Materials Project and Cu Kα (weighted mean of Kα1 and Kα2).

Atomic structure:
```
data_Ca4Mn4O11
_cell_length_a 7.549
_cell_length_b 5.479
_cell_length_c 10.865
_cell_angle_alpha 90.00
_cell_angle_beta 90.14
_cell_angle_gamma 90.00
_symmetry_space_group_name_H-M 'P 1 21 1'
_symmetry_Int_Tables_number 4
_symmetry_space_group_name_Hall 'P 2yb'
loop_
_atom_site_label
_atom_site_fract_x
_atom_site_fract_y
_atom_site_fract_z
_atom_site_occupancy
Ca1 0.001 0.000 0.383 1
Ca2 0.011 0.470 0.115 1
Ca3 0.482 0.389 0.121 1
Ca4 0.484 0.938 0.380 1
Mn1 0.244 0.940 0.128 1
Mn2 0.246 0.457 0.371 1
Mn3 0.249 0.460 0.877 1
Mn4 0.249 0.945 0.619 1
O1 0.006 0.935 0.671 1
O2 0.008 0.412 0.826 1
O3 0.202 0.728 0.993 1
O4 0.207 0.731 0.474 1
O5 0.212 0.211 0.009 1
O6 0.212 0.244 0.521 1
O7 0.285 0.168 0.265 1
O8 0.298 0.661 0.231 1
O9 0.301 0.679 0.738 1
O10 0.498 0.992 0.594 1
O11 0.499 0.440 0.909 1
```

Largest 10 diffraction maxima, by intensity, 2θ = 10–90°:
2θ 33.21, I = 100, (2 1 2); 2θ 47.11, I = 40, (0 2 4); 2θ 32.69, I = 26, (0 2 0); 2θ 32.98, I = 25, (0 0 4); 2θ 48.22, I = 19, (4 0 0); 2θ 23.05, I = 17, (0 1 2); 2θ 58.67, I = 15, (2 3 -2); 2θ 59.09, I = 12, (2 1 6); 2θ 58.98, I = 12, (2 1 -6); 2θ 59.48, I = 11, (4 2 0)

# 5
Diffraction record for NaLaFe4O12. The powder XRD pattern is computed, not measured: it uses the GGA+U geometry in the Materials Project and Cu Kα (weighted mean of Kα1 and Kα2).

Atomic structure:
```
data_NaLaFe4O12
_cell_length_a 7.694
_cell_length_b 7.572
_cell_length_c 7.598
_cell_angle_alpha 90.00
_cell_angle_beta 90.00
_cell_angle_gamma 90.00
_symmetry_space_group_name_H-M 'A m m 2'
_symmetry_Int_Tables_number 38
_symmetry_space_group_name_Hall 'A 2 -2'
loop_
_atom_site_label
_atom_site_fract_x
_atom_site_fract_y
_atom_site_fract_z
_atom_site_occupancy
Na1 0.000 0.000 0.000 1
La1 0.500 0.000 0.514 1
Fe1 0.238 0.249 0.758 1
O1 0.000 0.206 0.762 1
O2 0.224 0.000 0.226 1
O3 0.253 0.214 0.507 1
O4 0.294 0.000 0.779 1
O5 0.500 0.227 0.252 1
```

Largest 10 diffraction maxima, by intensity, 2θ = 10–90°:
2θ 33.17, I = 100, (2 2 0); 2θ 20.18, I = 86, (1 1 1); 2θ 33.41, I = 52, (0 2 2); 2θ 16.53, I = 35, (0 1 1); 2θ 26.20, I = 29, (1 2 0); 2θ 11.50, I = 28, (1 0 0); 2θ 47.89, I = 26, (0 0 4); 2θ 47.25, I = 25, (4 0 0); 2θ 23.45, I = 24, (0 0 2); 2θ 48.06, I = 23, (0 4 0)

# 6
Diffraction record for Li4Co3Ni2Sb3O16. The powder XRD pattern is computed, not measured: it uses the GGA+U geometry in the Materials Project and Cu Kα (weighted mean of Kα1 and Kα2).

Atomic structure:
```
data_Li4Co3Ni2Sb3O16
_cell_length_a 10.216
_cell_length_b 6.008
_cell_length_c 9.709
_cell_angle_alpha 90.00
_cell_angle_beta 90.27
_cell_angle_gamma 90.00
_symmetry_space_group_name_H-M 'C 1 m 1'
_symmetry_Int_Tables_number 8
_symmetry_space_group_name_Hall 'C -2y'
loop_
_atom_site_label
_atom_site_fract_x
_atom_site_fract_y
_atom_site_fract_z
_atom_site_occupancy
Li1 0.000 0.000 0.000 1
Li2 0.008 0.000 0.518 1
Li3 0.151 0.500 0.103 1
Li4 0.315 0.000 0.643 1
Co1 0.068 0.254 0.792 1
Co2 0.151 0.000 0.291 1
Ni1 0.139 0.500 0.533 1
Ni2 0.313 0.000 0.996 1
Sb1 0.314 0.500 0.792 1
Sb2 0.398 0.248 0.292 1
O1 0.063 0.236 0.400 1
O2 0.144 0.500 0.898 1
O3 0.145 0.000 0.895 1
O4 0.220 0.275 0.672 1
O5 0.238 0.223 0.176 1
O6 0.310 0.000 0.404 1
O7 0.326 0.500 0.408 1
O8 0.406 0.264 0.906 1
O9 0.470 0.000 0.172 1
O10 0.488 0.500 0.188 1
O11 0.489 0.500 0.698 1
O12 0.499 0.000 0.682 1
```

Largest 10 diffraction maxima, by intensity, 2θ = 10–90°:
2θ 18.27, I = 100, (0 0 2); 2θ 35.90, I = 57, (2 2 1); 2θ 19.42, I = 57, (1 1 -1); 2θ 19.62, I = 36, (2 0 -1); 2θ 32.64, I = 29, (1 1 3); 2θ 36.38, I = 27, (4 0 1); 2θ 62.73, I = 24, (6 2 0); 2θ 35.13, I = 24, (0 2 2); 2θ 44.77, I = 24, (2 2 -3); 2θ 39.43, I = 23, (2 2 -2)

# 7
Diffraction record for Li3Mn2P3O12. The powder XRD pattern is computed, not measured: it uses the GGA+U geometry in the Materials Project and Cu Kα (weighted mean of Kα1 and Kα2).

Atomic structure:
```
data_Li3Mn2P3O12
_cell_length_a 8.4994
_cell_length_b 8.4994
_cell_length_c 22.8459
_cell_angle_alpha 90.00
_cell_angle_beta 90.00
_cell_angle_gamma 120.00
_symmetry_space_group_name_H-M 'R -3'
_symmetry_Int_Tables_number 148
_symmetry_space_group_name_Hall '-R 3'
loop_
_atom_site_label
_atom_site_fract_x
_atom_site_fract_y
_atom_site_fract_z
_atom_site_occupancy
Li1 0.0184 0.6388 0.2171 1
Mn1 0.0000 0.0000 0.1534 1
Mn2 0.0000 0.0000 0.3538 1
P1 0.0024 0.7087 0.7501 1
O1 0.0084 0.8036 0.6931 1
O2 0.0496 0.2154 0.5874 1
O3 0.0919 0.2405 0.1989 1
O4 0.0971 0.2310 0.8982 1
```

Largest 10 diffraction maxima, by intensity, 2θ = 10–90°:
2θ 23.98, I = 100, (1 1 3); 2θ 31.55, I = 77, (1 1 6); 2θ 19.67, I = 69, (1 0 4); 2θ 14.31, I = 68, (0 1 2); 2θ 28.86, I = 48, (0 2 4); 2θ 36.63, I = 22, (3 0 0); 2θ 51.78, I = 21, (2 1 10); 2θ 49.10, I = 19, (2 2 6); 2θ 32.42, I = 17, (3 -1 1); 2θ 60.85, I = 17, (4 -3 10)

# 8
Diffraction record for CuBiW2O8. The powder XRD pattern is computed, not measured: it uses the GGA+U geometry in the Materials Project and Cu Kα (weighted mean of Kα1 and Kα2).

Atomic structure:
```
data_CuBiW2O8
_cell_length_a 5.148
_cell_length_b 6.122
_cell_length_c 6.235
_cell_angle_alpha 108.80
_cell_angle_beta 91.71
_cell_angle_gamma 113.45
_symmetry_space_group_name_H-M 'P 1'
_symmetry_Int_Tables_number 1
_symmetry_space_group_name_Hall 'P 1'
loop_
_atom_site_label
_atom_site_fract_x
_atom_site_fract_y
_atom_site_fract_z
_atom_site_occupancy
Cu1 0.000 0.000 0.000 1
Bi1 0.508 0.004 0.505 1
W1 0.257 0.520 0.841 1
W2 0.754 0.487 0.168 1
O1 0.008 0.276 0.579 1
O2 0.010 0.733 0.427 1
O3 0.040 0.705 0.980 1
O4 0.475 0.313 0.841 1
O5 0.499 0.752 0.731 1
O6 0.518 0.258 0.283 1
O7 0.535 0.693 0.170 1
O8 0.969 0.300 0.025 1
```

Largest 10 diffraction maxima, by intensity, 2θ = 10–90°:
2θ 26.39, I = 100, (-1 1 1); 2θ 26.68, I = 97, (1 0 1); 2θ 29.71, I = 76, (1 1 -1); 2θ 30.56, I = 73, (1 -2 1); 2θ 18.23, I = 66, (0 1 -1); 2θ 34.87, I = 50, (2 -1 0); 2θ 29.25, I = 49, (0 1 -2); 2θ 34.29, I = 39, (0 2 0); 2θ 26.78, I = 37, (0 1 1); 2θ 46.94, I = 32, (2 -2 2)

# 9
Diffraction record for KFeS2O9. The powder XRD pattern is computed, not measured: it uses the GGA+U geometry in the Materials Project and Cu Kα (weighted mean of Kα1 and Kα2).

Atomic structure:
```
data_KFeS2O9
_cell_length_a 8.106
_cell_length_b 5.209
_cell_length_c 9.248
_cell_angle_alpha 90.00
_cell_angle_beta 102.85
_cell_angle_gamma 90.00
_symmetry_space_group_name_H-M 'P 1 21/m 1'
_symmetry_Int_Tables_number 11
_symmetry_space_group_name_Hall '-P 2yb'
loop_
_atom_site_label
_atom_site_fract_x
_atom_site_fract_y
_atom_site_fract_z
_atom_site_occupancy
K1 0.076 0.250 0.217 1
Fe1 0.412 0.750 0.774 1
S1 0.168 0.250 0.654 1
S2 0.346 0.750 0.118 1
O1 0.017 0.750 0.376 1
O2 0.162 0.750 0.066 1
O3 0.230 0.017 0.749 1
O4 0.239 0.250 0.520 1
O5 0.393 0.750 0.546 1
O6 0.400 0.516 0.212 1
O7 0.437 0.750 0.995 1
```

Largest 10 diffraction maxima, by intensity, 2θ = 10–90°:
2θ 28.35, I = 100, (2 1 0); 2θ 34.45, I = 66, (0 2 0); 2θ 13.15, I = 53, (1 0 -1); 2θ 19.69, I = 52, (0 0 2); 2θ 23.78, I = 49, (1 1 1); 2θ 31.68, I = 39, (2 1 -2); 2θ 20.40, I = 36, (1 0 -2); 2θ 11.20, I = 26, (1 0 0); 2θ 48.62, I = 17, (2 2 2); 2θ 26.68, I = 16, (1 1 -2)